Record 1
Structure and calculated powder diffractogram of ZrAsW2 (a crystal structure in Alexandria, relaxed with GGA-PBE; Cu Kα (λ = 1.5418 Å)).
Peak positions follow from Bragg's law for the DFT cell and can differ from measured ones.

Crystal structure
Cell: 3.251 3.251 6.728 Å, 90.00 90.00 90.00°
Positions (direct):
Zr (0.000, 0.000, 0.000)
As (0.500, 0.500, 0.291)
W (0.000, 0.000, 0.500)
W (0.500, 0.500, 0.716)

Main lines, by angle (2θ from 10° to 90°):
| 2θ (°) | I_rel |
| --- | --- |
| 13.16 | 39.2 |
| 30.54 | 8.1 |
| 38.51 | 100.0 |
| 39.19 | 52.4 |
| 41.52 | 10.1 |
| 49.37 | 13.7 |
| 56.63 | 18.0 |
| 69.22 | 13.3 |
| 70.58 | 33.7 |
| 82.54 | 8.3 |

---

Record 2
Structure and calculated powder diffractogram of Y4As (a crystal structure in Alexandria, relaxed with GGA-PBE; Cu Kα (λ = 1.5418 Å)).
Peak positions follow from Bragg's law for the DFT cell and can differ from measured ones.

Crystal structure
Cell: 5.498 5.498 5.498 Å, 90.00 90.00 90.00°
Positions (direct):
Y (0.000, 0.000, 0.000)
Y (0.000, 0.500, 0.500)
Y (0.500, 0.000, 0.500)
Y (0.500, 0.500, 0.000)
As (0.500, 0.500, 0.500)

Main lines, by angle (2θ from 10° to 90°):
| 2θ (°) | I_rel |
| --- | --- |
| 16.12 | 17.6 |
| 22.88 | 15.4 |
| 28.11 | 83.4 |
| 32.57 | 100.0 |
| 46.73 | 71.1 |
| 55.43 | 35.2 |
| 58.12 | 24.3 |
| 75.36 | 13.6 |
| 77.67 | 30.4 |
| 86.78 | 23.2 |

---

Record 3
Structure and calculated powder diffractogram of YAs (a crystal structure in Alexandria, relaxed with GGA-PBE; Cu Kα (λ = 1.5418 Å)).
Peak positions follow from Bragg's law for the DFT cell and can differ from measured ones.

Crystal structure
Cell: 4.123 4.123 4.123 Å, 60.00 60.00 60.00°
Positions (direct):
Y (0.000, 0.000, 0.000)
As (0.500, 0.500, 0.500)

Main lines, by angle (2θ from 10° to 90°):
| 2θ (°) | I_rel |
| --- | --- |
| 26.48 | 1.3 |
| 30.66 | 100.0 |
| 43.92 | 72.9 |
| 54.51 | 25.3 |
| 63.85 | 11.6 |
| 72.49 | 31.8 |
| 80.74 | 23.7 |

---

Record 4
Structure and calculated powder diffractogram of YAs2 (a crystal structure in Alexandria, relaxed with GGA-PBE; Cu Kα (λ = 1.5418 Å)).
Peak positions follow from Bragg's law for the DFT cell and can differ from measured ones.

Crystal structure
Cell: 11.177 11.177 11.177 Å, 160.21 160.21 28.13°
Positions (direct):
Y (0.375, 0.625, 0.750)
Y (0.625, 0.375, 0.250)
As (0.067, 0.817, 0.250)
As (0.183, 0.933, 0.250)
As (0.817, 0.067, 0.750)
As (0.933, 0.183, 0.750)

Main lines, by angle (2θ from 10° to 90°):
| 2θ (°) | I_rel |
| --- | --- |
| 16.35 | 44.7 |
| 31.11 | 24.1 |
| 34.03 | 100.0 |
| 37.29 | 42.9 |
| 44.39 | 32.9 |
| 47.34 | 27.4 |
| 52.16 | 12.8 |
| 61.75 | 19.0 |
| 66.90 | 18.8 |
| 79.39 | 16.5 |

---

Record 5
Structure and calculated powder diffractogram of YAs2 (a crystal structure in Alexandria, relaxed with GGA-PBE; Cu Kα (λ = 1.5418 Å)).
Peak positions follow from Bragg's law for the DFT cell and can differ from measured ones.

Crystal structure
Cell: 5.772 5.772 5.772 Å, 118.90 118.90 91.92°
Positions (direct):
Y (0.250, 0.250, 0.000)
Y (0.750, 0.750, 0.000)
As (0.156, 0.656, 0.812)
As (0.344, 0.156, 0.500)
As (0.656, 0.844, 0.500)
As (0.844, 0.344, 0.188)

Main lines, by angle (2θ from 10° to 90°):
| 2θ (°) | I_rel |
| --- | --- |
| 31.01 | 100.0 |
| 36.01 | 97.9 |
| 37.99 | 66.2 |
| 45.20 | 27.1 |
| 48.60 | 41.2 |
| 49.10 | 43.0 |
| 68.05 | 20.8 |
| 68.54 | 14.5 |
| 68.94 | 30.3 |
| 72.26 | 24.8 |

---

Record 6
Structure and calculated powder diffractogram of YAs (a crystal structure in Alexandria, relaxed with GGA-PBE; Cu Kα (λ = 1.5418 Å)).
Peak positions follow from Bragg's law for the DFT cell and can differ from measured ones.

Crystal structure
Cell: 3.616 3.616 3.778 Å, 90.00 90.00 105.66°
Positions (direct):
Y (0.000, 0.000, 0.000)
As (0.500, 0.500, 0.500)

Main lines, by angle (2θ from 10° to 90°):
| 2θ (°) | I_rel |
| --- | --- |
| 31.04 | 34.8 |
| 35.05 | 100.0 |
| 41.33 | 15.7 |
| 48.17 | 10.1 |
| 52.57 | 15.3 |
| 57.84 | 22.8 |
| 58.42 | 11.2 |
| 71.31 | 12.0 |
| 74.06 | 10.8 |
| 81.23 | 8.4 |

---

Record 7
Structure and calculated powder diffractogram of Y4As3 (a crystal structure in Alexandria, relaxed with GGA-PBE; Cu Kα (λ = 1.5418 Å)).
Peak positions follow from Bragg's law for the DFT cell and can differ from measured ones.

Crystal structure
Cell: 13.109 13.109 13.109 Å, 18.01 18.01 18.01°
Positions (direct):
Y (0.125, 0.125, 0.125)
Y (0.373, 0.373, 0.373)
Y (0.627, 0.627, 0.627)
Y (0.875, 0.875, 0.875)
As (0.254, 0.254, 0.254)
As (0.500, 0.500, 0.500)
As (0.746, 0.746, 0.746)

Main lines, by angle (2θ from 10° to 90°):
| 2θ (°) | I_rel |
| --- | --- |
| 26.73 | 7.5 |
| 27.64 | 6.9 |
| 31.24 | 100.0 |
| 44.14 | 38.2 |
| 45.37 | 33.4 |
| 55.06 | 19.3 |
| 65.16 | 11.1 |
| 73.13 | 16.2 |
| 74.93 | 14.0 |
| 82.08 | 11.6 |

---

Record 8
Structure and calculated powder diffractogram of Y6As7 (a crystal structure in Alexandria, relaxed with GGA-PBE; Cu Kα (λ = 1.5418 Å)).
Peak positions follow from Bragg's law for the DFT cell and can differ from measured ones.

Crystal structure
Cell: 12.346 12.346 12.346 Å, 26.95 26.95 26.95°
Positions (direct):
Y (0.053, 0.053, 0.053)
Y (0.198, 0.198, 0.198)
Y (0.335, 0.335, 0.335)
Y (0.665, 0.665, 0.665)
Y (0.802, 0.802, 0.802)
Y (0.947, 0.947, 0.947)
As (0.069, 0.570, 0.570)
As (0.430, 0.430, 0.931)
As (0.430, 0.931, 0.430)
As (0.500, 0.500, 0.500)
As (0.570, 0.069, 0.570)
As (0.570, 0.570, 0.069)
As (0.931, 0.430, 0.430)

Main lines, by angle (2θ from 10° to 90°):
| 2θ (°) | I_rel |
| --- | --- |
| 22.43 | 25.6 |
| 24.99 | 36.3 |
| 31.08 | 55.1 |
| 34.64 | 57.4 |
| 36.14 | 38.7 |
| 37.41 | 46.7 |
| 37.83 | 29.0 |
| 40.29 | 100.0 |
| 41.52 | 63.5 |
| 64.81 | 34.5 |

---

Record 9
Structure and calculated powder diffractogram of Y3As (a crystal structure in Alexandria, relaxed with GGA-PBE; Cu Kα (λ = 1.5418 Å)).
Peak positions follow from Bragg's law for the DFT cell and can differ from measured ones.

Crystal structure
Cell: 9.707 9.707 9.707 Å, 23.01 23.01 23.01°
Positions (direct):
Y (0.000, 0.000, 0.000)
Y (0.228, 0.228, 0.228)
Y (0.772, 0.772, 0.772)
As (0.500, 0.500, 0.500)

Main lines, by angle (2θ from 10° to 90°):
| 2θ (°) | I_rel |
| --- | --- |
| 28.34 | 12.5 |
| 29.47 | 100.0 |
| 30.99 | 14.6 |
| 34.74 | 11.9 |
| 36.91 | 31.5 |
| 46.93 | 31.7 |
| 55.74 | 10.6 |
| 56.40 | 15.3 |
| 76.33 | 12.2 |
| 78.27 | 11.2 |

---

Record 10
Structure and calculated powder diffractogram of YZr2As3 (a crystal structure in Alexandria, relaxed with GGA-PBE; Cu Kα (λ = 1.5418 Å)).
Peak positions follow from Bragg's law for the DFT cell and can differ from measured ones.

Crystal structure
Cell: 6.843 6.843 6.843 Å, 146.57 131.79 59.94°
Positions (direct):
Y (0.000, 0.000, 0.000)
Zr (0.338, 0.338, 0.000)
Zr (0.662, 0.662, 0.000)
As (0.174, 0.674, 0.500)
As (0.500, 0.000, 0.500)
As (0.826, 0.326, 0.500)

Main lines, by angle (2θ from 10° to 90°):
| 2θ (°) | I_rel |
| --- | --- |
| 32.07 | 100.0 |
| 45.96 | 59.5 |
| 46.12 | 11.9 |
| 57.08 | 12.0 |
| 57.25 | 12.4 |
| 67.12 | 7.3 |
| 76.20 | 15.2 |
| 76.31 | 10.0 |
| 85.04 | 11.1 |
| 85.33 | 7.8 |

---

Record 11
Structure and calculated powder diffractogram of ZnAs2 (a crystal structure in Alexandria, relaxed with GGA-PBE; Cu Kα (λ = 1.5418 Å)).
Peak positions follow from Bragg's law for the DFT cell and can differ from measured ones.

Crystal structure
Cell: 9.394 7.797 8.142 Å, 90.00 102.53 90.00°
Positions (direct):
Zn (0.081, 0.249, 0.394)
Zn (0.081, 0.251, 0.894)
Zn (0.388, 0.600, 0.223)
Zn (0.388, 0.900, 0.723)
Zn (0.612, 0.100, 0.277)
Zn (0.612, 0.400, 0.777)
Zn (0.919, 0.749, 0.106)
Zn (0.919, 0.751, 0.606)
As (0.067, 0.745, 0.892)
As (0.067, 0.755, 0.392)
As (0.238, 0.512, 0.433)
As (0.238, 0.988, 0.933)
As (0.243, 0.508, 0.936)
As (0.243, 0.992, 0.436)
As (0.385, 0.576, 0.720)
As (0.385, 0.924, 0.220)
As (0.615, 0.076, 0.780)
As (0.615, 0.424, 0.280)
As (0.757, 0.008, 0.564)
As (0.757, 0.492, 0.064)
As (0.762, 0.012, 0.067)
As (0.762, 0.488, 0.567)
As (0.933, 0.245, 0.608)
As (0.933, 0.255, 0.108)

Main lines, by angle (2θ from 10° to 90°):
| 2θ (°) | I_rel |
| --- | --- |
| 14.91 | 15.9 |
| 24.82 | 43.0 |
| 26.30 | 100.0 |
| 30.09 | 46.6 |
| 40.38 | 34.8 |
| 44.51 | 29.7 |
| 47.40 | 52.0 |
| 50.06 | 25.4 |
| 52.27 | 16.6 |
| 54.66 | 18.9 |

---

Record 12
Structure and calculated powder diffractogram of Zn5As3 (a crystal structure in Alexandria, relaxed with GGA-PBE; Cu Kα (λ = 1.5418 Å)).
Peak positions follow from Bragg's law for the DFT cell and can differ from measured ones.

Crystal structure
Cell: 6.446 6.816 8.632 Å, 79.81 69.97 63.18°
Positions (direct):
Zn (0.000, 0.000, 0.000)
Zn (0.011, 0.191, 0.677)
Zn (0.119, 0.393, 0.203)
Zn (0.490, 0.877, 0.467)
Zn (0.527, 0.006, 0.026)
Zn (0.550, 0.631, 0.188)
Zn (0.575, 0.230, 0.718)
Zn (0.654, 0.142, 0.304)
Zn (0.768, 0.619, 0.791)
Zn (0.968, 0.919, 0.537)
As (0.054, 0.525, 0.491)
As (0.139, 0.011, 0.237)
As (0.390, 0.966, 0.771)
As (0.459, 0.498, 0.486)
As (0.597, 0.349, 0.988)
As (0.937, 0.664, 0.997)

Main lines, by angle (2θ from 10° to 90°):
| 2θ (°) | I_rel |
| --- | --- |
| 26.86 | 55.7 |
| 31.11 | 54.2 |
| 32.25 | 51.5 |
| 32.63 | 100.0 |
| 43.21 | 59.4 |
| 44.71 | 77.9 |
| 46.19 | 52.6 |
| 46.48 | 84.5 |
| 47.15 | 61.6 |
| 48.88 | 61.5 |